Diffraction record for TbHoPdAu. The X-ray powder pattern is theoretical, not measured: it uses a GGA-PBE-relaxed structure and copper Kα.
Intensities are scaled so that the largest is 100.

Top 12 peaks for 2θ from 10° to 80°, in order of falling intensity:
2θ = 31.76°, I = 100, (1 1 1)
2θ = 39.97°, I = 71, (1 1 3)
2θ = 38.58°, I = 35, (2 0 0)
2θ = 33.67°, I = 29, (0 0 4)
2θ = 38.95°, I = 23, (1 0 4)
2θ = 74.04°, I = 18, (1 0 8)
2θ = 34.82°, I = 18, (0 1 3)
2θ = 48.60°, I = 18, (0 2 0)
2θ = 52.12°, I = 17, (2 0 4)
2θ = 63.70°, I = 16, (2 2 0)
2θ = 79.44°, I = 14, (2 1 7)
2θ = 70.74°, I = 14, (3 1 3)

Structure:
Lattice parameters (Å, degrees): 4.6672 3.7469 10.6474 90.00 90.00 90.00
Space group Amm2 (No. 38)
Asymmetric unit:
Tb 0.0000 0.0000 0.0000 x2
Ho 0.5000 0.0000 0.7236 x2
Pd 0.0000 0.0000 0.2732 x2
Au 0.5000 0.0000 0.4459 x2